Calculated powder diffraction line list
Compound: LaH12Pt4
Radiation: λ = 1.5418 Å (Cu Kα)
Structure: the PBE geometry in Alexandria

Structure:
```
LaH12Pt4
1.0
-3.559 3.559 3.559
3.559 -3.559 3.559
3.559 3.559 -3.559
La H Pt
1 12 4
Direct
0.000 0.000 0.000
0.000 0.259 0.741
0.000 0.741 0.259
0.259 0.000 0.741
0.259 0.259 0.518
0.259 0.518 0.259
0.259 0.741 0.000
0.482 0.741 0.741
0.518 0.259 0.259
0.741 0.000 0.259
0.741 0.259 0.000
0.741 0.482 0.741
0.741 0.741 0.482
0.000 0.000 0.500
0.000 0.500 0.000
0.500 0.000 0.000
0.500 0.500 0.500
```

The 12 most intense peaks (2θ from 10° to 90°), by angle:
2θ (°)  Rel. int.
17.62  134
25.02  622
30.77  70
35.67  1000
44.07  176
47.81  40
51.34  186
57.93  252
64.08  374
75.56  119
81.05  122
86.46  170